No. 1
Diffraction record for Dy5TmS6. The PXRD pattern is simulated, not measured: it uses the GGA-PBE geometry in Alexandria and Cu Kα X-rays.
No peak broadening, texture or thermal motion is included.

Most intense lines, 10° ≤ 2θ ≤ 90°, in order of falling intensity:
2θ 32.5, I = 100; 2θ 28.0, I = 42; 2θ 28.1, I = 41; 2θ 46.6, I = 36; 2θ 46.7, I = 24; 2θ 55.3, I = 24; 2θ 55.4, I = 17; 2θ 77.5, I = 16; 2θ 57.9, I = 13; 2θ 86.5, I = 12

Cell and atoms:
```
Dy5TmS6
1.0
3.371 -5.855 0.000
3.371 5.855 0.000
-2.266 0.000 6.341
Dy Tm S
5 1 6
direct
0.000 0.000 0.000
0.167 0.833 0.500
0.331 0.669 0.000
0.669 0.331 0.000
0.833 0.167 0.500
0.500 0.500 0.500
0.088 0.417 0.252
0.253 0.253 0.749
0.417 0.088 0.252
0.583 0.912 0.748
0.747 0.747 0.251
0.912 0.583 0.748
```

No. 2
Diffraction record for Dy2Tm2S3. The PXRD pattern is simulated, not measured: it uses the GGA-PBE geometry in Alexandria and Cu Kα X-rays.
No peak broadening, texture or thermal motion is included.

Most intense lines, 10° ≤ 2θ ≤ 90°, in order of falling intensity:
2θ 32.9, I = 100; 2θ 28.5, I = 78; 2θ 28.7, I = 77; 2θ 47.7, I = 70; 2θ 33.5, I = 48; 2θ 56.0, I = 25; 2θ 56.3, I = 24; 2θ 47.0, I = 18; 2θ 59.3, I = 18; 2θ 47.5, I = 18

Cell and atoms:
```
Dy2Tm2S3
1.0
6.381 -1.914 0.000
6.381 1.914 0.000
-1.271 0.000 6.490
Dy Tm S
2 2 3
direct
0.125 0.125 0.368
0.875 0.875 0.632
0.376 0.376 0.123
0.624 0.624 0.877
0.245 0.245 0.752
0.500 0.500 0.500
0.755 0.755 0.248
```

No. 3
Diffraction record for DyU6S8. The PXRD pattern is simulated, not measured: it uses the GGA-PBE geometry in Alexandria and Cu Kα X-rays.
No peak broadening, texture or thermal motion is included.

Most intense lines, 10° ≤ 2θ ≤ 90°, in order of falling intensity:
2θ 32.8, I = 100; 2θ 28.3, I = 94; 2θ 47.1, I = 73; 2θ 55.9, I = 47; 2θ 78.4, I = 35; 2θ 87.7, I = 27; 2θ 58.6, I = 26; 2θ 76.1, I = 20; 2θ 16.3, I = 14; 2θ 23.1, I = 13

Cell and atoms:
```
DyU6S8
1.0
0.000 5.454 5.454
5.454 0.000 5.454
5.454 5.454 0.000
Dy U S
1 6 8
direct
0.000 0.000 0.000
0.000 0.000 0.500
0.000 0.500 0.000
0.000 0.500 0.500
0.500 0.000 0.000
0.500 0.000 0.500
0.500 0.500 0.000
0.250 0.250 0.250
0.254 0.254 0.746
0.254 0.746 0.254
0.254 0.746 0.746
0.746 0.254 0.254
0.746 0.254 0.746
0.746 0.746 0.254
0.750 0.750 0.750
```

No. 4
Diffraction record for Dy4US5. The PXRD pattern is simulated, not measured: it uses the GGA-PBE geometry in Alexandria and Cu Kα X-rays.
No peak broadening, texture or thermal motion is included.

Most intense lines, 10° ≤ 2θ ≤ 90°, in order of falling intensity:
2θ 32.5, I = 100; 2θ 28.1, I = 88; 2θ 46.6, I = 72; 2θ 55.3, I = 43; 2θ 77.5, I = 33; 2θ 58.0, I = 26; 2θ 86.6, I = 25; 2θ 75.2, I = 18; 2θ 68.1, I = 12; 2θ 23.1, I = 1

Cell and atoms:
```
Dy4US5
1.0
-1.947 1.947 13.778
1.947 -1.947 13.778
1.947 1.947 -13.778
Dy U S
4 1 5
direct
0.099 0.099 0.000
0.302 0.302 0.000
0.698 0.698 0.000
0.901 0.901 0.000
0.500 0.500 0.000
0.000 0.000 0.000
0.201 0.201 0.000
0.400 0.400 0.000
0.600 0.600 0.000
0.799 0.799 0.000
```

No. 5
Diffraction record for Dy6US8. The PXRD pattern is simulated, not measured: it uses the GGA-PBE geometry in Alexandria and Cu Kα X-rays.
No peak broadening, texture or thermal motion is included.

Most intense lines, 10° ≤ 2θ ≤ 90°, in order of falling intensity:
2θ 32.5, I = 100; 2θ 28.0, I = 76; 2θ 46.6, I = 72; 2θ 55.2, I = 38; 2θ 77.4, I = 32; 2θ 86.5, I = 25; 2θ 57.9, I = 25; 2θ 13.9, I = 23; 2θ 26.8, I = 16; 2θ 75.1, I = 16

Cell and atoms:
```
Dy6US8
1.0
0.000 5.514 5.514
5.514 0.000 5.514
5.514 5.514 0.000
Dy U S
6 1 8
direct
0.000 0.000 0.500
0.000 0.500 0.000
0.000 0.500 0.500
0.500 0.000 0.000
0.500 0.000 0.500
0.500 0.500 0.000
0.000 0.000 0.000
0.250 0.250 0.250
0.252 0.252 0.748
0.252 0.748 0.252
0.252 0.748 0.748
0.748 0.252 0.252
0.748 0.252 0.748
0.748 0.748 0.252
0.750 0.750 0.750
```

No. 6
Diffraction record for DyVS2. The PXRD pattern is simulated, not measured: it uses the GGA-PBE geometry in Alexandria and Cu Kα X-rays.
No peak broadening, texture or thermal motion is included.

Most intense lines, 10° ≤ 2θ ≤ 90°, in order of falling intensity:
2θ 29.4, I = 100; 2θ 28.7, I = 56; 2θ 41.8, I = 53; 2θ 22.4, I = 42; 2θ 32.2, I = 35; 2θ 48.0, I = 34; 2θ 50.3, I = 33; 2θ 11.2, I = 28; 2θ 55.7, I = 22; 2θ 62.1, I = 20

Cell and atoms:
```
DyVS2
1.0
1.813 1.047 7.930
-1.813 1.047 7.930
0.000 -2.094 7.930
Dy V S
1 1 2
direct
0.000 0.000 0.000
0.500 0.500 0.500
0.112 0.112 0.112
0.888 0.888 0.888
```

No. 7
Diffraction record for DyY2S4. The PXRD pattern is simulated, not measured: it uses the GGA-PBE geometry in Alexandria and Cu Kα X-rays.
No peak broadening, texture or thermal motion is included.

Most intense lines, 10° ≤ 2θ ≤ 90°, in order of falling intensity:
2θ 24.5, I = 100; 2θ 34.3, I = 64; 2θ 32.1, I = 49; 2θ 47.0, I = 41; 2θ 42.4, I = 36; 2θ 25.3, I = 32; 2θ 28.0, I = 23; 2θ 15.3, I = 23; 2θ 54.4, I = 22; 2θ 44.5, I = 22

Cell and atoms:
```
DyY2S4
1.0
1.903 -6.472 0.000
1.903 6.472 0.000
0.000 0.000 13.134
Dy Y S
2 4 8
direct
0.127 0.873 0.750
0.873 0.127 0.250
0.370 0.630 0.570
0.370 0.630 0.930
0.630 0.370 0.070
0.630 0.370 0.430
0.000 0.000 0.000
0.000 0.000 0.500
0.277 0.723 0.123
0.277 0.723 0.377
0.474 0.526 0.750
0.526 0.474 0.250
0.723 0.277 0.623
0.723 0.277 0.877
```

No. 8
Diffraction record for Dy2YS2. The PXRD pattern is simulated, not measured: it uses the GGA-PBE geometry in Alexandria and Cu Kα X-rays.
No peak broadening, texture or thermal motion is included.

Most intense lines, 10° ≤ 2θ ≤ 90°, in order of falling intensity:
2θ 31.2, I = 100; 2θ 47.6, I = 37; 2θ 29.7, I = 35; 2θ 78.2, I = 26; 2θ 27.6, I = 25; 2θ 28.1, I = 25; 2θ 41.7, I = 23; 2θ 56.1, I = 22; 2θ 34.9, I = 22; 2θ 58.0, I = 22

Cell and atoms:
```
Dy2YS2
1.0
1.912 1.104 9.534
-1.912 1.104 9.534
0.000 -2.208 9.534
Dy Y S
2 1 2
direct
0.216 0.216 0.216
0.784 0.784 0.784
0.000 0.000 0.000
0.391 0.391 0.391
0.609 0.609 0.609
```

No. 9
Diffraction record for DyY4S6. The PXRD pattern is simulated, not measured: it uses the GGA-PBE geometry in Alexandria and Cu Kα X-rays.
No peak broadening, texture or thermal motion is included.

Most intense lines, 10° ≤ 2θ ≤ 90°, in order of falling intensity:
2θ 32.6, I = 100; 2θ 26.4, I = 88; 2θ 34.1, I = 54; 2θ 44.0, I = 39; 2θ 27.8, I = 37; 2θ 47.4, I = 29; 2θ 25.9, I = 27; 2θ 46.2, I = 25; 2θ 46.0, I = 25; 2θ 30.4, I = 24

Cell and atoms:
```
DyY4S6
1.0
1.916 -6.447 0.000
1.916 6.447 0.000
0.000 0.000 19.856
Dy Y S
2 8 12
direct
0.152 0.848 0.750
0.848 0.152 0.250
0.091 0.909 0.128
0.091 0.909 0.372
0.361 0.639 0.040
0.361 0.639 0.460
0.639 0.361 0.540
0.639 0.361 0.960
0.909 0.091 0.628
0.909 0.091 0.872
0.000 0.000 0.000
0.000 0.000 0.500
0.195 0.805 0.250
0.270 0.730 0.589
0.270 0.730 0.911
0.449 0.551 0.168
0.449 0.551 0.332
0.551 0.449 0.668
0.551 0.449 0.832
0.730 0.270 0.089
0.730 0.270 0.411
0.805 0.195 0.750
```

No. 10
Diffraction record for DyY4S4. The PXRD pattern is simulated, not measured: it uses the GGA-PBE geometry in Alexandria and Cu Kα X-rays.
No peak broadening, texture or thermal motion is included.

Most intense lines, 10° ≤ 2θ ≤ 90°, in order of falling intensity:
2θ 28.1, I = 100; 2θ 32.6, I = 92; 2θ 46.7, I = 65; 2θ 32.5, I = 47; 2θ 58.1, I = 33; 2θ 46.8, I = 32; 2θ 55.5, I = 31; 2θ 77.8, I = 28; 2θ 86.9, I = 21; 2θ 19.1, I = 19

Cell and atoms:
```
DyY4S4
1.0
-4.339 4.339 2.756
4.339 -4.339 2.756
4.339 4.339 -2.756
Dy Y S
1 4 4
direct
0.000 0.000 0.000
0.198 0.603 0.801
0.397 0.198 0.595
0.603 0.802 0.405
0.802 0.397 0.199
0.099 0.301 0.399
0.301 0.901 0.202
0.699 0.099 0.798
0.901 0.699 0.601
```

No. 11
Diffraction record for DyY3S6. The PXRD pattern is simulated, not measured: it uses the GGA-PBE geometry in Alexandria and Cu Kα X-rays.
No peak broadening, texture or thermal motion is included.

Most intense lines, 10° ≤ 2θ ≤ 90°, in order of falling intensity:
2θ 35.5, I = 100; 2θ 27.1, I = 97; 2θ 41.6, I = 86; 2θ 24.6, I = 85; 2θ 22.1, I = 78; 2θ 35.1, I = 65; 2θ 19.5, I = 51; 2θ 15.7, I = 42; 2θ 42.7, I = 41; 2θ 42.1, I = 35

Cell and atoms:
```
DyY3S6
1.0
5.742 3.315 4.560
-5.742 3.315 4.560
0.000 -6.630 4.560
Dy Y S
2 6 12
direct
0.000 0.000 0.000
0.500 0.500 0.500
0.067 0.747 0.576
0.253 0.424 0.933
0.424 0.933 0.253
0.576 0.067 0.747
0.747 0.576 0.067
0.933 0.253 0.424
0.036 0.681 0.905
0.095 0.964 0.319
0.184 0.419 0.591
0.319 0.095 0.964
0.409 0.816 0.581
0.419 0.591 0.184
0.581 0.409 0.816
0.591 0.184 0.419
0.681 0.905 0.036
0.816 0.581 0.409
0.905 0.036 0.681
0.964 0.319 0.095
```

No. 12
Diffraction record for Dy6ZnS4. The PXRD pattern is simulated, not measured: it uses the GGA-PBE geometry in Alexandria and Cu Kα X-rays.
No peak broadening, texture or thermal motion is included.

Most intense lines, 10° ≤ 2θ ≤ 90°, in order of falling intensity:
2θ 30.2, I = 100; 2θ 32.2, I = 85; 2θ 29.8, I = 46; 2θ 56.4, I = 39; 2θ 27.3, I = 38; 2θ 31.2, I = 38; 2θ 45.8, I = 37; 2θ 33.8, I = 33; 2θ 47.9, I = 32; 2θ 46.5, I = 28

Cell and atoms:
```
Dy6ZnS4
1.0
1.953 -6.464 0.000
1.953 6.464 0.000
0.000 0.000 19.997
Dy Zn S
12 2 8
direct
0.000 0.000 0.000
0.000 0.000 0.500
0.169 0.831 0.750
0.272 0.728 0.085
0.272 0.728 0.415
0.456 0.544 0.662
0.456 0.544 0.838
0.544 0.456 0.162
0.544 0.456 0.338
0.728 0.272 0.585
0.728 0.272 0.915
0.831 0.169 0.250
0.159 0.841 0.250
0.841 0.159 0.750
0.092 0.908 0.623
0.092 0.908 0.877
0.362 0.638 0.540
0.362 0.638 0.960
0.638 0.362 0.040
0.638 0.362 0.460
0.908 0.092 0.123
0.908 0.092 0.377
```